No. 1
Ca2NO: computed X-ray powder pattern (a wavelength of 1.5418 Å), based on DFT lattice parameters and positions (GGA-PBE).
Kinematic intensities with the Lorentz-polarization factor, no thermal factor.

Main lines, by angle (2θ from 10° to 90°):
- (2 0 0), 29.8°, I = 20
- (1 1 2), 31.3°, I = 100
- (2 2 0), 42.6°, I = 31
- (3 1 2), 53.8°, I = 35
- (2 0 4), 56.7°, I = 24
- (4 0 0), 61.8°, I = 8
- (3 3 2), 71.0°, I = 7
- (1 1 6), 77.5°, I = 5
- (5 1 2), 86.4°, I = 7
- (4 2 4), 88.8°, I = 10

Structure:
```
data_Ca2NO
_chemical_formula_sum 'Ca8 N4 O4'
_cell_length_a 6.0021
_cell_length_b 6.0021
_cell_length_c 7.7208
_cell_angle_alpha 90.00
_cell_angle_beta 90.00
_cell_angle_gamma 90.00
_symmetry_space_group_name_H-M 'I -4 2 d'
_symmetry_Int_Tables_number 122
_symmetry_space_group_name_Hall 'I -4 2bw'
loop_
_atom_site_label
_atom_site_fract_x
_atom_site_fract_y
_atom_site_fract_z
Ca1 0.2330 0.2500 0.1250
N1 0.0000 0.0000 0.5000
O1 0.0000 0.0000 0.0000
```

***

No. 2
Pm4Er6Tm: computed X-ray powder pattern (a wavelength of 1.5418 Å), based on DFT lattice parameters and positions (GGA-PBE).
Kinematic intensities with the Lorentz-polarization factor, no thermal factor.

Main lines, by angle (2θ from 10° to 90°):
- (1 1 4), 28.5°, I = 39
- (2 0 2), 29.0°, I = 66
- (1 0 5), 29.6°, I = 30
- (2 1 1), 30.8°, I = 100
- (0 0 6), 31.7°, I = 27
- (2 0 4), 34.5°, I = 80
- (1 1 6), 37.2°, I = 30
- (2 2 0), 38.6°, I = 31
- (2 1 5), 40.5°, I = 35
- (1 1 10), 57.9°, I = 47

Structure:
```
data_Pm4Er6Tm
_chemical_formula_sum 'Pm8 Er12 Tm2'
_cell_length_a 6.5988
_cell_length_b 6.5988
_cell_length_c 16.9426
_cell_angle_alpha 90.00
_cell_angle_beta 90.00
_cell_angle_gamma 90.00
_symmetry_space_group_name_H-M 'I -4 2 m'
_symmetry_Int_Tables_number 121
_symmetry_space_group_name_Hall 'I -4 2'
loop_
_atom_site_label
_atom_site_fract_x
_atom_site_fract_y
_atom_site_fract_z
Pm1 0.1888 0.1888 0.1752
Er1 0.0000 0.5000 0.0000
Er2 0.1783 0.1783 0.3742
Tm1 0.0000 0.0000 0.0000
```

***

No. 3
VRu: computed X-ray powder pattern (a wavelength of 1.5418 Å), based on DFT lattice parameters and positions (GGA-PBE).
Kinematic intensities with the Lorentz-polarization factor, no thermal factor.

Main lines, by angle (2θ from 10° to 90°):
- (0 1 1), 23.4°, I = 9
- (1 0 1), 31.8°, I = 10
- (0 1 3), 37.8°, I = 10
- (0 0 4), 41.9°, I = 25
- (1 1 2), 42.6°, I = 100
- (0 2 0), 42.7°, I = 25
- (0 2 4), 61.4°, I = 15
- (2 0 0), 62.3°, I = 8
- (1 1 6), 77.0°, I = 14
- (1 3 2), 78.2°, I = 15

Structure:
```
data_VRu
_chemical_formula_sum 'V4 Ru4'
_cell_length_a 2.9809
_cell_length_b 4.2319
_cell_length_c 8.6320
_cell_angle_alpha 90.00
_cell_angle_beta 90.00
_cell_angle_gamma 90.00
_symmetry_space_group_name_H-M 'I m m a'
_symmetry_Int_Tables_number 74
_symmetry_space_group_name_Hall '-I 2b 2'
loop_
_atom_site_label
_atom_site_fract_x
_atom_site_fract_y
_atom_site_fract_z
V1 0.0000 0.2500 0.1328
Ru1 0.0000 0.2500 0.6128
```